[1]
Starting from a crystal structure in Alexandria, relaxed with PBE, the powder XRD pattern of Er9Sn3C2 was calculated for CuKα.
No peak broadening, texture or thermal motion is included.

Largest 10 diffraction maxima, low angle first, 2θ = 10–90°:
18.4 deg, intensity 2
26.1 deg, intensity 1
32.1 deg, intensity 100
37.3 deg, intensity 53
41.8 deg, intensity 1
53.7 deg, intensity 37
64.0 deg, intensity 42
67.2 deg, intensity 13
79.4 deg, intensity 6
88.2 deg, intensity 18

Structural model:
Unit cell a=6.825 b=6.825 c=8.366 alpha=90.00 beta=90.00 gamma=120.00
Positions (direct):
Er 0.000 0.500 0.000
Er 0.169 0.338 0.669
Er 0.169 0.831 0.669
Er 0.338 0.169 0.331
Er 0.500 0.000 0.000
Er 0.500 0.500 0.000
Er 0.662 0.831 0.669
Er 0.831 0.169 0.331
Er 0.831 0.662 0.331
Sn 0.000 0.000 0.000
Sn 0.333 0.667 0.334
Sn 0.667 0.333 0.666
C 0.333 0.667 0.831
C 0.667 0.333 0.169

[2]
Starting from a crystal structure in Alexandria, relaxed with PBE, the powder XRD pattern of HoTmW was calculated for CuKα.
No peak broadening, texture or thermal motion is included.

Largest 10 diffraction maxima, low angle first, 2θ = 10–90°:
30.0 deg, intensity 21
33.4 deg, intensity 18
33.5 deg, intensity 100
38.1 deg, intensity 24
38.2 deg, intensity 61
43.3 deg, intensity 18
51.6 deg, intensity 21
55.2 deg, intensity 21
61.9 deg, intensity 13
66.1 deg, intensity 28

Structural model:
Unit cell a=3.330 b=3.330 c=13.425 alpha=90.00 beta=90.00 gamma=90.00
Positions (direct):
Ho 0.250 0.250 0.095
Ho 0.750 0.750 0.905
Tm 0.250 0.250 0.695
Tm 0.750 0.750 0.305
W 0.250 0.250 0.451
W 0.750 0.750 0.549

[3]
Starting from a crystal structure in Alexandria, relaxed with PBE, the powder XRD pattern of Tm4AlSb was calculated for CuKα.
No peak broadening, texture or thermal motion is included.

Largest 10 diffraction maxima, low angle first, 2θ = 10–90°:
21.8 deg, intensity 8
25.2 deg, intensity 34
25.3 deg, intensity 17
36.0 deg, intensity 100
44.5 deg, intensity 15
51.7 deg, intensity 12
58.4 deg, intensity 13
64.6 deg, intensity 24
64.8 deg, intensity 12
87.2 deg, intensity 10

Structural model:
Unit cell a=8.634 b=8.633 c=7.069 alpha=65.85 beta=65.82 gamma=48.33
Positions (direct):
Tm 0.000 0.500 0.238
Tm 0.000 0.500 0.762
Tm 0.238 0.761 0.000
Tm 0.239 0.762 0.500
Tm 0.500 0.000 0.239
Tm 0.500 0.000 0.761
Tm 0.761 0.238 0.500
Tm 0.762 0.239 0.000
Al 0.125 0.125 0.125
Al 0.875 0.875 0.875
Sb 0.375 0.375 0.375
Sb 0.625 0.625 0.625